Simulated powder XRD pattern
Compound: InBr
Radiation: Cu Kα (weighted mean of Kα1 and Kα2)
Structure: DFT lattice parameters and positions (GGA-PBE)

Largest 12 diffraction maxima, low angle first, 2θ = 5–70°:
- 2θ 24.67, I 19
- 2θ 26.33, I 65
- 2θ 30.67, I 69
- 2θ 30.80, I 78
- 2θ 31.43, I 100
- 2θ 32.74, I 19
- 2θ 41.55, I 19
- 2θ 45.23, I 21
- 2θ 45.97, I 28
- 2θ 55.41, I 17
- 2θ 55.64, I 24
- 2θ 60.40, I 14

Structural model:
```
InBr
1.0
4.209 0.000 0.000
0.000 8.081 0.000
0.000 0.000 8.019
In Br
4 4
Direct
0.132 0.041 0.250
0.132 0.459 0.750
0.868 0.541 0.250
0.868 0.959 0.750
0.453 0.750 0.000
0.453 0.750 0.500
0.547 0.250 0.000
0.547 0.250 0.500
```


Simulated powder XRD pattern
Compound: In4Br
Radiation: Cu Kα (weighted mean of Kα1 and Kα2)
Structure: DFT lattice parameters and positions (GGA-PBE)

Largest 12 diffraction maxima, low angle first, 2θ = 5–70°:
- 2θ 16.35, I 2
- 2θ 31.73, I 100
- 2θ 36.27, I 17
- 2θ 37.07, I 30
- 2θ 50.50, I 2
- 2θ 52.56, I 3
- 2θ 52.83, I 21
- 2θ 53.44, I 9
- 2θ 62.41, I 14
- 2θ 63.50, I 19
- 2θ 66.30, I 9
- 2θ 68.57, I 3

Structural model:
```
In4Br
1.0
-3.834 3.834 2.477
3.834 -3.834 2.477
3.834 3.834 -2.477
In Br
4 1
Direct
0.122 0.685 0.808
0.315 0.122 0.437
0.685 0.878 0.563
0.878 0.315 0.192
0.500 0.500 0.000
```


Simulated powder XRD pattern
Compound: InBr
Radiation: Cu Kα (weighted mean of Kα1 and Kα2)
Structure: DFT lattice parameters and positions (GGA-PBE)

Largest 12 diffraction maxima, low angle first, 2θ = 5–70°:
- 2θ 18.16, I 100
- 2θ 26.84, I 52
- 2θ 31.73, I 100
- 2θ 32.60, I 46
- 2θ 36.80, I 17
- 2θ 42.03, I 91
- 2θ 46.13, I 17
- 2θ 49.36, I 14
- 2θ 56.52, I 19
- 2θ 57.08, I 18
- 2θ 63.65, I 26
- 2θ 65.20, I 24

Structural model:
```
InBr
1.0
5.640 0.000 0.000
-2.820 4.885 0.000
0.000 0.000 6.642
In Br
2 2
Direct
0.333 0.667 0.000
0.667 0.333 0.500
0.333 0.667 0.502
0.667 0.333 0.002
```


Simulated powder XRD pattern
Compound: In3Br4
Radiation: Cu Kα (weighted mean of Kα1 and Kα2)
Structure: DFT lattice parameters and positions (GGA-PBE)

Largest 12 diffraction maxima, low angle first, 2θ = 5–70°:
- 2θ 19.15, I 18
- 2θ 22.50, I 74
- 2θ 27.21, I 57
- 2θ 33.49, I 9
- 2θ 35.59, I 28
- 2θ 38.87, I 100
- 2θ 48.12, I 11
- 2θ 53.66, I 9
- 2θ 53.75, I 12
- 2θ 56.13, I 17
- 2θ 63.42, I 10
- 2θ 63.53, I 10

Structural model:
```
In3Br4
1.0
4.630 2.673 7.582
-4.630 2.673 7.582
0.000 -5.346 7.582
In Br
6 8
Direct
0.000 0.000 0.000
0.000 0.000 0.500
0.000 0.500 0.000
0.375 0.375 0.375
0.500 0.000 0.000
0.625 0.625 0.625
0.252 0.252 0.252
0.252 0.252 0.744
0.252 0.744 0.252
0.256 0.748 0.748
0.744 0.252 0.252
0.748 0.256 0.748
0.748 0.748 0.256
0.748 0.748 0.748
```